The following is a computed powder diffractogram of Hg3WF6. It was derived from DFT lattice parameters and positions (GGA+U), using λ = 1.5418 Å (Cu Kα).
Lines closer than 0.1° are merged.

Structural model:
abc: 9.9093 9.9093 17.3069
angles: 90.00 90.00 120.00
Space group R-3m (No. 166, hexagonal axes)
Asymmetric unit:
Hg  0.1044  0.2087  0.2759 x18
W  0.0000  0.0000  0.0000 x3
W  0.0000  0.0000  0.5000 x3
F  0.0897  0.1794  0.9365 x18
F  0.0946  0.1892  0.5618 x18

Largest 10 diffraction maxima, in order of falling intensity, 10° ≤ 2θ ≤ 90°:
Position (°2θ)  intensity  (hkl)
35.01  100  0 3 3
23.02  91  1 0 4
29.37  64  0 2 4
17.90  55  1 1 0
23.14  54  2 0 2
44.61  54  3 0 6
39.26  44  3 1 2
21.33  44  0 2 1
38.17  33  1 3 1
15.36  30  0 0 3